# 1
Starting from a structure optimized by DFT (GGA-PBE), the powder XRD pattern of AcLa4Ga4 was calculated for λ = 1.5418 Å (Cu Kα).

Crystal structure
```
AcLa4Ga4
1.0
9.4377 0.0000 0.0000
0.0000 9.4377 0.0000
0.0000 0.0000 6.0431
Ac La Ga
2 8 8
Direct
0.2500 0.2500 0.2500 Ac
0.7500 0.7500 0.7500 Ac
0.0932 0.8398 0.6027 La
0.1602 0.5932 0.1027 La
0.3398 0.9068 0.1027 La
0.4068 0.6602 0.6027 La
0.5932 0.3398 0.3973 La
0.6602 0.0932 0.8973 La
0.8398 0.4068 0.8973 La
0.9068 0.1602 0.3973 La
0.0158 0.1200 0.8907 Ga
0.1200 0.4842 0.6093 Ga
0.3800 0.0158 0.6093 Ga
0.4842 0.3800 0.8907 Ga
0.5158 0.6200 0.1093 Ga
0.6200 0.9842 0.3907 Ga
0.8800 0.5158 0.3907 Ga
0.9842 0.8800 0.1093 Ga
```

Most intense lines, 2θ from 10° to 80°, by angle:
17.43 deg, intensity 41
25.75 deg, intensity 45
29.94 deg, intensity 100
30.61 deg, intensity 47
31.08 deg, intensity 55
32.08 deg, intensity 53
33.49 deg, intensity 34
36.57 deg, intensity 24
37.44 deg, intensity 42
42.85 deg, intensity 24

# 2
Starting from a structure optimized by DFT (GGA-PBE), the powder XRD pattern of Ac2LaGa4 was calculated for λ = 1.5418 Å (Cu Kα).

Crystal structure
```
Ac2LaGa4
1.0
-2.1657 2.3023 9.8540
2.1657 -2.3023 9.8540
2.1657 2.3023 -9.8540
Ac La Ga
2 1 4
Direct
0.1834 0.1834 0.0000 Ac
0.8166 0.8166 0.0000 Ac
0.0000 0.5000 0.5000 La
0.3658 0.3658 0.0000 Ga
0.4372 0.9372 0.5000 Ga
0.5628 0.0628 0.5000 Ga
0.6342 0.6342 0.0000 Ga
```

Most intense lines, 2θ from 10° to 80°, by angle:
24.62 deg, intensity 37
29.73 deg, intensity 100
29.84 deg, intensity 68
33.74 deg, intensity 25
38.12 deg, intensity 21
39.13 deg, intensity 30
39.61 deg, intensity 21
41.71 deg, intensity 25
46.78 deg, intensity 22
52.12 deg, intensity 29

# 3
Starting from a structure optimized by DFT (GGA-PBE), the powder XRD pattern of Ac2LaGa4Pd3 was calculated for λ = 1.5418 Å (Cu Kα).

Crystal structure
```
Ac2LaGa4Pd3
1.0
4.4513 0.0000 0.0000
0.0000 4.4513 0.0000
0.0000 0.0000 11.8411
Ac La Ga Pd
2 1 4 3
Direct
0.0000 0.5000 0.2235 Ac
0.5000 0.0000 0.7765 Ac
0.0000 0.0000 0.5000 La
0.0000 0.0000 0.0000 Ga
0.0000 0.5000 0.6748 Ga
0.5000 0.0000 0.3252 Ga
0.5000 0.5000 0.0000 Ga
0.0000 0.5000 0.8876 Pd
0.5000 0.0000 0.1124 Pd
0.5000 0.5000 0.5000 Pd
```

Most intense lines, 2θ from 10° to 80°, by angle:
28.35 deg, intensity 16
30.25 deg, intensity 57
32.21 deg, intensity 100
36.45 deg, intensity 23
40.53 deg, intensity 52
43.27 deg, intensity 14
50.59 deg, intensity 14
51.40 deg, intensity 31
58.66 deg, intensity 17
68.52 deg, intensity 23

# 4
Starting from a structure optimized by DFT (GGA-PBE), the powder XRD pattern of Ac3La3Tl2Ga was calculated for λ = 1.5418 Å (Cu Kα).

Crystal structure
```
Ac3La3Tl2Ga
1.0
9.4347 0.0000 0.0000
-4.7174 8.1707 0.0000
0.0000 0.0000 4.0658
Ac La Tl Ga
3 3 2 1
Direct
0.0000 0.7348 0.0000 Ac
0.2652 0.2652 0.0000 Ac
0.7348 0.0000 0.0000 Ac
0.0000 0.3956 0.5000 La
0.3956 0.0000 0.5000 La
0.6044 0.6044 0.5000 La
0.3333 0.6667 0.0000 Tl
0.6667 0.3333 0.0000 Tl
0.0000 0.0000 0.5000 Ga
```

Most intense lines, 2θ from 10° to 80°, by angle:
21.86 deg, intensity 10
28.96 deg, intensity 100
31.03 deg, intensity 37
32.89 deg, intensity 37
36.54 deg, intensity 23
39.81 deg, intensity 12
44.57 deg, intensity 11
53.86 deg, intensity 25
54.00 deg, intensity 14
56.49 deg, intensity 16

# 5
Starting from a structure optimized by DFT (GGA-PBE), the powder XRD pattern of LiAc2Ga7 was calculated for λ = 1.5418 Å (Cu Kα).

Crystal structure
```
LiAc2Ga7
1.0
4.5157 0.0000 0.0000
0.0000 4.5157 0.0000
0.0000 0.0000 10.6754
Li Ac Ga
1 2 7
Direct
0.0000 0.0000 0.0000 Li
0.0000 0.5000 0.7487 Ac
0.5000 0.0000 0.2513 Ac
0.0000 0.0000 0.5000 Ga
0.0000 0.5000 0.1298 Ga
0.0000 0.5000 0.3692 Ga
0.5000 0.0000 0.6308 Ga
0.5000 0.0000 0.8702 Ga
0.5000 0.5000 0.0000 Ga
0.5000 0.5000 0.5000 Ga
```

Most intense lines, 2θ from 10° to 80°, by angle:
21.36 deg, intensity 33
27.94 deg, intensity 41
32.02 deg, intensity 89
32.68 deg, intensity 100
39.93 deg, intensity 57
47.08 deg, intensity 36
52.07 deg, intensity 46
57.75 deg, intensity 19
63.40 deg, intensity 30
67.95 deg, intensity 24

# 6
Starting from a structure optimized by DFT (GGA-PBE), the powder XRD pattern of Li3Ac3Ga8 was calculated for λ = 1.5418 Å (Cu Kα).

Crystal structure
```
Li3Ac3Ga8
1.0
-2.2777 4.9456 6.9632
2.2777 -4.9456 6.9632
2.2777 4.9456 -6.9632
Li Ac Ga
3 3 8
Direct
0.0000 0.0000 0.0000 Li
0.2084 0.5000 0.7084 Li
0.7916 0.5000 0.2916 Li
0.1969 0.6969 0.5000 Ac
0.5000 0.0000 0.5000 Ac
0.8031 0.3031 0.5000 Ac
0.0798 0.8553 0.2245 Ga
0.2043 0.3401 0.8642 Ga
0.3692 0.1447 0.2245 Ga
0.4759 0.3401 0.1358 Ga
0.5241 0.6599 0.8642 Ga
0.6308 0.8553 0.7755 Ga
0.7957 0.6599 0.1358 Ga
0.9202 0.1447 0.7755 Ga
```

Most intense lines, 2θ from 10° to 80°, by angle:
12.71 deg, intensity 30
21.14 deg, intensity 38
21.48 deg, intensity 34
27.43 deg, intensity 41
31.42 deg, intensity 27
32.97 deg, intensity 92
33.34 deg, intensity 35
33.58 deg, intensity 100
39.57 deg, intensity 33
50.09 deg, intensity 25

# 7
Starting from a structure optimized by DFT (GGA-PBE), the powder XRD pattern of Li2Ac4Ga5 was calculated for λ = 1.5418 Å (Cu Kα).

Crystal structure
```
Li2Ac4Ga5
1.0
7.2344 0.0000 0.0000
0.0000 4.7587 0.0000
-0.0358 0.0000 8.7356
Li Ac Ga
2 4 5
Direct
0.0151 0.0000 0.3722 Li
0.9849 0.0000 0.6278 Li
0.1970 0.5000 0.8432 Ac
0.3324 0.5000 0.3235 Ac
0.6676 0.5000 0.6765 Ac
0.8030 0.5000 0.1568 Ac
0.1414 0.0000 0.1019 Ga
0.3504 0.0000 0.5962 Ga
0.5000 0.0000 0.0000 Ga
0.6496 0.0000 0.4038 Ga
0.8586 0.0000 0.8981 Ga
```

Most intense lines, 2θ from 10° to 80°, by angle:
18.65 deg, intensity 23
23.80 deg, intensity 23
24.61 deg, intensity 18
27.72 deg, intensity 27
30.41 deg, intensity 100
31.06 deg, intensity 19
32.73 deg, intensity 55
37.81 deg, intensity 26
38.76 deg, intensity 17
55.28 deg, intensity 21

# 8
Starting from a structure optimized by DFT (GGA-PBE), the powder XRD pattern of Li4AcGa2 was calculated for λ = 1.5418 Å (Cu Kα).

Crystal structure
```
Li4AcGa2
1.0
2.3281 -6.8732 0.0000
2.3281 6.8732 0.0000
0.0000 0.0000 4.6467
Li Ac Ga
4 1 2
Direct
0.1891 0.8109 0.0000 Li
0.3005 0.6995 0.5000 Li
0.6995 0.3005 0.5000 Li
0.8109 0.1891 0.0000 Li
0.5000 0.5000 0.0000 Ac
0.0919 0.9081 0.5000 Ga
0.9081 0.0919 0.5000 Ga
```

Most intense lines, 2θ from 10° to 80°, by angle:
12.88 deg, intensity 89
23.10 deg, intensity 18
27.31 deg, intensity 28
27.89 deg, intensity 100
32.40 deg, intensity 30
33.54 deg, intensity 25
38.01 deg, intensity 26
38.72 deg, intensity 28
40.97 deg, intensity 22
44.07 deg, intensity 20

# 9
Starting from a structure optimized by DFT (GGA-PBE), the powder XRD pattern of Li6Ac2Ga3 was calculated for λ = 1.5418 Å (Cu Kα).

Crystal structure
```
Li6Ac2Ga3
1.0
7.9607 0.0000 0.0000
-3.9803 6.8941 0.0000
0.0000 0.0000 4.6730
Li Ac Ga
6 2 3
Direct
0.0000 0.2053 0.0000 Li
0.0000 0.7513 0.5000 Li
0.2053 0.0000 0.0000 Li
0.2487 0.2487 0.5000 Li
0.7513 0.0000 0.5000 Li
0.7947 0.7947 0.0000 Li
0.3333 0.6667 0.0000 Ac
0.6667 0.3333 0.0000 Ac
0.0000 0.4028 0.5000 Ga
0.4028 0.0000 0.5000 Ga
0.5972 0.5972 0.5000 Ga
```

Most intense lines, 2θ from 10° to 80°, by angle:
12.84 deg, intensity 70
22.34 deg, intensity 43
22.99 deg, intensity 17
29.48 deg, intensity 100
32.27 deg, intensity 30
39.20 deg, intensity 23
39.60 deg, intensity 17
49.80 deg, intensity 16
56.14 deg, intensity 17
65.14 deg, intensity 17

# 10
Starting from a structure optimized by DFT (GGA-PBE), the powder XRD pattern of Li2AcGa2 was calculated for λ = 1.5418 Å (Cu Kα).

Crystal structure
```
Li2AcGa2
1.0
-2.2898 2.3164 10.6933
2.2898 -2.3164 10.6933
2.2898 2.3164 -10.6933
Li Ac Ga
4 2 4
Direct
0.2102 0.4602 0.7500 Li
0.2825 0.0325 0.2500 Li
0.7175 0.9675 0.7500 Li
0.7898 0.5398 0.2500 Li
0.4144 0.6644 0.7500 Ac
0.5856 0.3356 0.2500 Ac
0.0319 0.7819 0.2500 Ga
0.1506 0.9006 0.2500 Ga
0.8494 0.0994 0.7500 Ga
0.9681 0.2181 0.7500 Ga
```

Most intense lines, 2θ from 10° to 80°, by angle:
23.08 deg, intensity 23
28.40 deg, intensity 33
28.65 deg, intensity 100
32.18 deg, intensity 34
35.19 deg, intensity 22
35.32 deg, intensity 16
38.88 deg, intensity 18
39.35 deg, intensity 17
42.89 deg, intensity 26
59.26 deg, intensity 20

# 11
Starting from a structure optimized by DFT (GGA-PBE), the powder XRD pattern of LiAcMgGa2 was calculated for λ = 1.5418 Å (Cu Kα).

Crystal structure
```
LiAcMgGa2
1.0
-2.2691 2.2691 5.7752
2.2691 -2.2691 5.7752
2.2691 2.2691 -5.7752
Li Ac Mg Ga
1 1 1 2
Direct
0.0000 0.0000 0.0000 Li
0.2500 0.7500 0.5000 Ac
0.5000 0.5000 0.0000 Mg
0.6408 0.1408 0.5000 Ga
0.8592 0.3592 0.5000 Ga
```

Most intense lines, 2θ from 10° to 80°, by angle:
15.34 deg, intensity 70
21.03 deg, intensity 33
27.80 deg, intensity 85
30.45 deg, intensity 100
31.90 deg, intensity 83
39.72 deg, intensity 46
42.82 deg, intensity 23
43.98 deg, intensity 57
50.86 deg, intensity 49
60.75 deg, intensity 44

# 12
Starting from a structure optimized by DFT (GGA-PBE), the powder XRD pattern of Li2AcMgGa4 was calculated for λ = 1.5418 Å (Cu Kα).

Crystal structure
```
Li2AcMgGa4
1.0
2.2314 1.2883 9.7019
-2.2314 1.2883 9.7019
0.0000 -2.5766 9.7019
Li Ac Mg Ga
2 1 1 4
Direct
0.2267 0.2267 0.2267 Li
0.7733 0.7733 0.7733 Li
0.0000 0.0000 0.0000 Ac
0.5000 0.5000 0.5000 Mg
0.1155 0.1155 0.1155 Ga
0.4047 0.4047 0.4047 Ga
0.5953 0.5953 0.5953 Ga
0.8845 0.8845 0.8845 Ga
```

Most intense lines, 2θ from 10° to 80°, by angle:
23.22 deg, intensity 38
23.82 deg, intensity 100
27.71 deg, intensity 34
31.61 deg, intensity 51
33.84 deg, intensity 67
38.73 deg, intensity 66
40.42 deg, intensity 81
49.66 deg, intensity 27
57.22 deg, intensity 21
72.38 deg, intensity 21

# 13
Starting from a structure optimized by DFT (GGA-PBE), the powder XRD pattern of LiAcGa2Ni2 was calculated for λ = 1.5418 Å (Cu Kα).

Crystal structure
```
LiAcGa2Ni2
1.0
4.2478 0.0000 0.0000
-2.1239 3.6787 0.0000
0.0000 0.0000 7.0249
Li Ac Ga Ni
1 1 2 2
Direct
0.0000 0.0000 0.0000 Li
0.0000 0.0000 0.5000 Ac
0.3333 0.6667 0.8316 Ga
0.6667 0.3333 0.1684 Ga
0.3333 0.6667 0.1828 Ni
0.6667 0.3333 0.8172 Ni
```

Most intense lines, 2θ from 10° to 80°, by angle:
27.37 deg, intensity 100
35.33 deg, intensity 63
38.44 deg, intensity 21
42.57 deg, intensity 50
51.35 deg, intensity 18
56.47 deg, intensity 17
58.21 deg, intensity 12
58.69 deg, intensity 36
68.83 deg, intensity 15
73.21 deg, intensity 15

# 14
Starting from a structure optimized by DFT (GGA-PBE), the powder XRD pattern of Li2Ac3GaO8 was calculated for λ = 1.5418 Å (Cu Kα).

Crystal structure
```
Li2Ac3GaO8
1.0
5.5366 0.0000 0.0000
-2.7683 4.7948 0.0000
0.0000 0.0000 7.1830
Li Ac Ga O
2 3 1 8
Direct
0.3333 0.6667 0.1996 Li
0.6667 0.3333 0.8004 Li
0.0000 0.0000 0.0000 Ac
0.3333 0.6667 0.6383 Ac
0.6667 0.3333 0.3617 Ac
0.0000 0.0000 0.5000 Ga
0.1614 0.3228 0.3282 O
0.1614 0.8386 0.3282 O
0.3228 0.1614 0.6718 O
0.3333 0.6667 0.9490 O
0.6667 0.3333 0.0510 O
0.6772 0.8386 0.3282 O
0.8386 0.1614 0.6718 O
0.8386 0.6772 0.6718 O
```

Most intense lines, 2θ from 10° to 80°, by angle:
22.29 deg, intensity 100
31.11 deg, intensity 68
32.34 deg, intensity 81
39.63 deg, intensity 37
45.49 deg, intensity 35
50.39 deg, intensity 22
52.04 deg, intensity 23
54.57 deg, intensity 18
56.91 deg, intensity 27
74.37 deg, intensity 17